The following is a computed powder diffraction line list of CaMg14CrO16. It was derived from a PBE+U-relaxed structure, using Cu Kα X-rays.
Peak positions follow from Bragg's law for the DFT cell and can differ from measured ones.

Largest 6 diffraction maxima, low angle first, 15° ≤ 2θ ≤ 90°:
d = 2.174 Å, intensity 100.0, (0 0 4)
d = 2.163 Å, intensity 100.0, (2 0 0)
d = 2.143 Å, intensity 96.2, (0 4 0)
d = 1.533 Å, intensity 56.1, (2 0 4)
d = 1.526 Å, intensity 54.7, (0 4 4)
d = 1.522 Å, intensity 55.1, (2 4 0)

Crystal structure
```
CaMg14CrO16
1.0
4.3267 0.0000 0.0000
0.0000 8.5704 0.0000
0.0000 0.0000 8.6963
Ca Mg Cr O
1 14 1 16
direct
0.0000 0.0000 0.0000
0.0000 0.0000 0.5000
0.0000 0.2535 0.2561
0.0000 0.2535 0.7439
0.0000 0.5000 0.5000
0.0000 0.7465 0.2561
0.0000 0.7465 0.7439
0.5000 0.0000 0.2565
0.5000 0.0000 0.7435
0.5000 0.2507 0.5000
0.5000 0.2548 0.0000
0.5000 0.5000 0.2538
0.5000 0.5000 0.7462
0.5000 0.7452 0.0000
0.5000 0.7493 0.5000
0.0000 0.5000 0.0000
0.0000 0.0000 0.2631
0.0000 0.0000 0.7369
0.0000 0.2497 0.5000
0.0000 0.2619 0.0000
0.0000 0.5000 0.2650
0.0000 0.5000 0.7350
0.0000 0.7381 0.0000
0.0000 0.7503 0.5000
0.5000 0.0000 0.0000
0.5000 0.0000 0.5000
0.5000 0.2501 0.2495
0.5000 0.2501 0.7505
0.5000 0.5000 0.0000
0.5000 0.5000 0.5000
0.5000 0.7499 0.2495
0.5000 0.7499 0.7505
```